[1]
Simulated powder X-ray diffraction pattern of Pu3Si9Ir2 for a wavelength of 1.5418 Å, from a structure optimized by DFT (GGA-PBE).
Kinematic intensities with the Lorentz-polarization factor, no thermal factor.

Structure:
Cell: 7.8475 7.8475 7.8475 Å, 149.99 100.10 87.64°
Sites, in units of the cell vectors:
1 Pu 0.0000 0.0000 0.0000
2 Pu 0.3150 0.3150 0.0000
3 Pu 0.6850 0.6850 0.0000
4 Si 0.0445 0.6677 0.3768
5 Si 0.1433 0.8691 0.2743
6 Si 0.2909 0.6677 0.6232
7 Si 0.4052 0.1309 0.2743
8 Si 0.5000 0.0000 0.5000
9 Si 0.5948 0.8691 0.7257
10 Si 0.7091 0.3323 0.3768
11 Si 0.8567 0.1309 0.7257
12 Si 0.9555 0.3323 0.6232
13 Ir 0.2705 0.5000 0.7705
14 Ir 0.7295 0.5000 0.2295

Most intense lines, 2θ from 10° to 90°, sorted by position:
- 2θ 23.6, 3.767 Å, rel. 644
- 2θ 25.2, 3.535 Å, rel. 274
- 2θ 35.6, 2.520 Å, rel. 225
- 2θ 35.8, 2.510 Å, rel. 282
- 2θ 37.1, 2.425 Å, rel. 1000
- 2θ 44.6, 2.032 Å, rel. 200



[2]
Simulated powder X-ray diffraction pattern of YCdTc2Te for a wavelength of 1.5418 Å, from a structure optimized by DFT (GGA-PBE).
Kinematic intensities with the Lorentz-polarization factor, no thermal factor.

Structure:
Cell: 5.0942 5.0942 5.6891 Å, 90.00 90.00 90.00°
Sites, in units of the cell vectors:
1 Y 0.0000 0.0000 0.0000
2 Cd 0.5000 0.5000 0.5000
3 Tc 0.0000 0.5000 0.0000
4 Tc 0.5000 0.0000 0.0000
5 Te 0.0000 0.0000 0.5000

Most intense lines, 2θ from 10° to 90°, sorted by position:
- 2θ 29.3, 3.043 Å, rel. 1000
- 2θ 31.4, 2.845 Å, rel. 481
- 2θ 35.2, 2.547 Å, rel. 705
- 2θ 47.9, 1.898 Å, rel. 581
- 2θ 59.7, 1.550 Å, rel. 258
- 2θ 60.9, 1.522 Å, rel. 280